Structure and calculated XRD peak list of FeOF (DFT lattice parameters and positions (PBE+U); CuKα).
Lines closer than 0.1° are merged.

Structural model:
```
FeOF
1.0
9.4819 0.0000 0.0000
0.0000 3.0842 0.0000
-0.2273 0.0000 14.0932
Fe O F
12 12 12
Direct
0.0000 0.0000 0.0000 Fe
0.0001 0.0000 0.2885 Fe
0.2433 0.5000 0.1457 Fe
0.2438 0.5000 0.4801 Fe
0.2615 0.5000 0.8125 Fe
0.4995 0.0000 0.9630 Fe
0.5049 0.0000 0.2834 Fe
0.5397 0.0000 0.6376 Fe
0.7373 0.5000 0.8159 Fe
0.7515 0.5000 0.4777 Fe
0.7568 0.5000 0.1442 Fe
0.9963 0.0000 0.6227 Fe
0.1078 0.5000 0.0392 O
0.1579 0.0000 0.5412 O
0.1586 0.0000 0.2063 O
0.4037 0.5000 0.2386 O
0.4060 0.5000 0.9033 O
0.6049 0.5000 0.7069 O
0.6515 0.0000 0.8769 O
0.6558 0.0000 0.2000 O
0.6602 0.0000 0.5327 O
0.8442 0.0000 0.0757 O
0.9000 0.5000 0.5711 O
0.9035 0.5000 0.2458 O
0.1023 0.5000 0.3746 F
0.1016 0.5000 0.7065 F
0.1538 0.0000 0.8660 F
0.3433 0.0000 0.7369 F
0.3485 0.0000 0.4130 F
0.3589 0.0000 0.0658 F
0.4088 0.5000 0.5754 F
0.5897 0.5000 0.0304 F
0.6059 0.5000 0.3735 F
0.8486 0.0000 0.4122 F
0.8558 0.0000 0.7454 F
0.9084 0.5000 0.9068 F
```

The 12 most intense peaks (2θ = 10–90°), by angle:
2θ/deg  d (Å)  Rel. int.
26.50  3.364  93.2
26.93  3.310  89.2
34.75  2.582  100.0
39.65  2.273  19.5
39.95  2.257  15.5
52.19  1.753  27.2
52.40  1.746  24.4
52.69  1.737  26.8
52.90  1.731  23.6
55.52  1.655  14.7
59.99  1.542  18.0
66.49  1.406  19.3


Structure and calculated XRD peak list of FeC2O6 (DFT lattice parameters and positions (PBE+U); CuKα).
Lines closer than 0.1° are merged.

Structural model:
```
FeC2O6
1.0
4.7851 0.0000 0.0000
2.3923 4.1456 0.0000
2.3894 1.3520 22.4558
Fe C O
4 8 24
Direct
0.1252 0.1244 0.1254 Fe
0.3747 0.3753 0.3751 Fe
0.6253 0.6247 0.6249 Fe
0.8748 0.8756 0.8746 Fe
0.0586 0.0587 0.3240 C
0.1909 0.1919 0.9259 C
0.3090 0.3084 0.5738 C
0.4412 0.4414 0.1764 C
0.5588 0.5586 0.8236 C
0.6910 0.6916 0.4262 C
0.8091 0.8081 0.0741 C
0.9414 0.9413 0.6760 C
0.0231 0.3471 0.5733 O
0.0565 0.5222 0.0737 O
0.0973 0.3063 0.3235 O
0.1522 0.9444 0.9263 O
0.1935 0.7273 0.1769 O
0.2273 0.9029 0.6765 O
0.2728 0.5974 0.8231 O
0.3062 0.7729 0.3235 O
0.3477 0.5561 0.5734 O
0.4023 0.1938 0.1769 O
0.4434 0.9774 0.4267 O
0.4771 0.1529 0.9263 O
0.5229 0.8471 0.0737 O
0.5566 0.0226 0.5733 O
0.5977 0.8062 0.8231 O
0.6523 0.4439 0.4266 O
0.6938 0.2271 0.6765 O
0.7272 0.4026 0.1769 O
0.7727 0.0971 0.3235 O
0.8065 0.2727 0.8231 O
0.8478 0.0556 0.0737 O
0.9027 0.6937 0.6765 O
0.9435 0.4778 0.9263 O
0.9769 0.6529 0.4267 O
```

The 12 most intense peaks (2θ = 10–90°), by angle:
2θ/deg  d (Å)  Rel. int.
15.79  5.614  100.0
22.09  4.025  59.5
30.26  2.954  75.2
41.00  2.201  38.4
43.49  2.081  14.1
45.05  2.012  8.9
48.50  1.877  11.5
50.09  1.821  18.9
51.79  1.765  10.4
59.24  1.560  12.3
60.07  1.540  7.0
63.06  1.474  8.7


Structure and calculated XRD peak list of Mn3OF5 (DFT lattice parameters and positions (PBE+U); CuKα).
Lines closer than 0.1° are merged.

Structural model:
```
Mn3OF5
1.0
9.8477 0.0000 0.0000
0.0000 4.8493 0.0000
0.0000 0.0000 4.8663
Mn O F
6 2 10
Direct
0.0000 0.2230 0.0000 Mn
0.1584 0.7543 0.4631 Mn
0.3416 0.2457 0.9631 Mn
0.5000 0.7770 0.5000 Mn
0.6584 0.2457 0.9631 Mn
0.8416 0.7543 0.4631 Mn
0.0000 0.9304 0.2839 O
0.5000 0.0696 0.7839 O
0.0000 0.5283 0.6891 F
0.1676 0.0451 0.7826 F
0.1764 0.4354 0.1689 F
0.3236 0.5646 0.6689 F
0.3324 0.9549 0.2826 F
0.5000 0.4717 0.1891 F
0.6676 0.9549 0.2826 F
0.6764 0.5646 0.6689 F
0.8236 0.4354 0.1689 F
0.8324 0.0451 0.7826 F
```

The 12 most intense peaks (2θ = 10–90°), by angle:
2θ/deg  d (Å)  Rel. int.
25.94  3.435  100.0
32.93  2.720  53.5
37.91  2.373  22.9
50.37  1.812  64.1
53.34  1.717  18.9
56.03  1.641  11.0
60.15  1.538  4.3
60.33  1.534  4.7
62.74  1.481  12.8
64.03  1.454  11.7
64.23  1.450  11.4
81.04  1.187  8.6


Structure and calculated XRD peak list of Cr2P3O12 (DFT lattice parameters and positions (PBE+U); CuKα).
Lines closer than 0.1° are merged.

Structural model:
```
Cr2P3O12
1.0
4.2048 2.4276 7.3324
-4.2048 2.4276 7.3324
0.0000 -4.8552 7.3324
Cr P O
4 6 24
Direct
0.1414 0.1414 0.1414 Cr
0.3557 0.3557 0.3557 Cr
0.6443 0.6443 0.6443 Cr
0.8586 0.8586 0.8586 Cr
0.0306 0.4658 0.7519 P
0.2481 0.9694 0.5342 P
0.4658 0.7519 0.0306 P
0.5342 0.2481 0.9694 P
0.7519 0.0306 0.4658 P
0.9694 0.5342 0.2481 P
0.0041 0.6266 0.7972 O
0.0963 0.2683 0.9036 O
0.0964 0.9037 0.7317 O
0.1616 0.5133 0.2344 O
0.1876 0.4743 0.5499 O
0.2028 0.9959 0.3734 O
0.2344 0.1616 0.5133 O
0.2683 0.9036 0.0963 O
0.3734 0.2028 0.9959 O
0.4501 0.8124 0.5257 O
0.4743 0.5499 0.1876 O
0.4867 0.7655 0.8384 O
0.5133 0.2345 0.1616 O
0.5257 0.4501 0.8124 O
0.5499 0.1876 0.4743 O
0.6266 0.7972 0.0041 O
0.7317 0.0964 0.9037 O
0.7655 0.8384 0.4867 O
0.7972 0.0041 0.6266 O
0.8124 0.5257 0.4501 O
0.8384 0.4867 0.7655 O
0.9036 0.0963 0.2683 O
0.9037 0.7317 0.0964 O
0.9959 0.3734 0.2028 O
```

The 12 most intense peaks (2θ = 10–90°), by angle:
2θ/deg  d (Å)  Rel. int.
14.59  6.072  55.0
20.23  4.389  60.8
21.13  4.205  25.6
24.40  3.648  100.0
29.42  3.036  50.9
32.40  2.763  37.0
32.79  2.731  14.2
37.03  2.428  11.5
50.01  1.824  11.1
53.31  1.718  13.9
58.04  1.589  11.5
62.42  1.488  11.1


Structure and calculated XRD peak list of Li4Fe3Co2Sn3O16 (DFT lattice parameters and positions (PBE+U); CuKα).
Lines closer than 0.1° are merged.

Structural model:
```
Li4Fe3Co2Sn3O16
1.0
5.2855 -3.0556 0.0000
5.2855 3.0556 0.0000
-0.0091 0.0000 9.4855
Li Fe Co Sn O
4 3 2 3 16
Direct
0.0000 0.0000 0.0000 Li
0.0030 0.0030 0.5124 Li
0.3178 0.3178 0.6126 Li
0.6528 0.6528 0.1028 Li
0.1555 0.1555 0.2884 Fe
0.3329 0.8126 0.7866 Fe
0.8126 0.3329 0.7866 Fe
0.3180 0.3180 0.0116 Co
0.6502 0.6502 0.5233 Co
0.1569 0.6484 0.2901 Sn
0.6484 0.1569 0.2901 Sn
0.8154 0.8154 0.7895 Sn
0.0373 0.4581 0.1494 O
0.1603 0.6451 0.9069 O
0.1638 0.1638 0.9020 O
0.3156 0.3156 0.4037 O
0.3240 0.8227 0.4015 O
0.4581 0.0373 0.1494 O
0.4637 0.4637 0.1492 O
0.5071 0.9376 0.6503 O
0.5109 0.5109 0.6532 O
0.6451 0.1603 0.9069 O
0.6488 0.6488 0.9016 O
0.8227 0.3240 0.4015 O
0.8226 0.8226 0.4071 O
0.9376 0.5071 0.6503 O
0.9901 0.9901 0.1873 O
0.9905 0.9905 0.7004 O
```

The 12 most intense peaks (2θ = 10–90°), by angle:
2θ/deg  d (Å)  Rel. int.
18.71  4.743  71.5
19.21  4.620  100.0
25.22  3.531  38.7
33.01  2.714  30.7
33.90  2.645  21.2
34.95  2.567  46.1
35.23  2.547  81.5
39.00  2.310  34.5
44.67  2.029  68.1
51.78  1.766  21.8
60.02  1.541  44.0
60.67  1.526  25.7


Structure and calculated XRD peak list of Sr7CaMnFe7O24 (DFT lattice parameters and positions (PBE+U); CuKα).
Lines closer than 0.1° are merged.

Structural model:
```
Sr7CaMnFe7O24
1.0
5.5218 3.1880 4.5087
-5.5218 3.1880 4.5087
0.0000 -6.3760 4.5087
Sr Ca Mn Fe O
7 1 1 7 24
Direct
0.0000 0.0000 0.0000 Sr
0.0001 0.0001 0.4998 Sr
0.0001 0.4998 0.0001 Sr
0.0001 0.4998 0.4998 Sr
0.4998 0.0001 0.0001 Sr
0.4998 0.0001 0.4998 Sr
0.4998 0.4998 0.0001 Sr
0.5000 0.5000 0.5000 Ca
0.2504 0.2504 0.2504 Mn
0.2504 0.2504 0.7494 Fe
0.2504 0.7494 0.2504 Fe
0.2504 0.7494 0.7494 Fe
0.7494 0.2504 0.2504 Fe
0.7494 0.2504 0.7494 Fe
0.7494 0.7494 0.2504 Fe
0.7495 0.7495 0.7495 Fe
0.0006 0.7496 0.7496 O
0.0024 0.2504 0.2504 O
0.2504 0.0024 0.2504 O
0.2504 0.2504 0.0024 O
0.2503 0.7496 0.9989 O
0.2503 0.9989 0.7496 O
0.2519 0.2519 0.4974 O
0.2519 0.4974 0.2519 O
0.2520 0.5009 0.7479 O
0.2520 0.7479 0.5009 O
0.4974 0.2519 0.2519 O
0.4994 0.7479 0.7479 O
0.5009 0.2520 0.7479 O
0.5009 0.7479 0.2520 O
0.7479 0.2520 0.5009 O
0.7479 0.4994 0.7479 O
0.7479 0.5009 0.2520 O
0.7479 0.7479 0.4994 O
0.7496 0.0006 0.7496 O
0.7496 0.2503 0.9989 O
0.7496 0.7496 0.0006 O
0.7496 0.9989 0.2503 O
0.9989 0.2503 0.7496 O
0.9989 0.7496 0.2503 O
```

The 12 most intense peaks (2θ = 10–90°), by angle:
2θ/deg  d (Å)  Rel. int.
11.33  7.809  0.9
16.05  5.522  1.0
25.51  3.492  0.8
27.99  3.188  0.6
32.43  2.761  100.0
40.00  2.254  12.5
46.52  1.952  39.8
57.85  1.594  37.4
67.90  1.380  22.6
77.27  1.235  16.0
81.82  1.177  3.5
86.31  1.127  7.5


Structure and calculated XRD peak list of K3VF6 (DFT lattice parameters and positions (PBE+U); CuKα).
Lines closer than 0.1° are merged.

Structural model:
```
K3VF6
1.0
0.0000 4.4694 4.4694
4.4694 0.0000 4.4694
4.4694 4.4694 0.0000
K V F
3 1 6
Direct
0.0000 0.0000 0.0000 K
0.2500 0.2500 0.2500 K
0.7500 0.7500 0.7500 K
0.5000 0.5000 0.5000 V
0.2795 0.2795 0.7205 F
0.2795 0.7205 0.2795 F
0.2795 0.7205 0.7205 F
0.7205 0.2795 0.2795 F
0.7205 0.2795 0.7205 F
0.7205 0.7205 0.2795 F
```

The 12 most intense peaks (2θ = 10–90°), by angle:
2θ/deg  d (Å)  Rel. int.
17.18  5.161  12.3
19.87  4.469  18.0
28.24  3.160  100.0
34.77  2.580  20.1
40.36  2.235  72.1
49.99  1.825  30.9
53.25  1.720  5.5
58.40  1.580  37.5
66.11  1.413  18.2
73.39  1.290  10.4
80.39  1.194  18.0
87.25  1.117  4.5